Entry 1:
Starting from a structure optimized by DFT (GGA-PBE), the powder diffraction line list of SmPa2MnN5 was calculated for Cu Kα (λ = 1.5418 Å).
Neutral-atom scattering factors, no anomalous dispersion.

Top 8 peaks for 2θ = 10–80°, in order of falling intensity:
2θ/deg  Rel. int.
31.60  100
34.51  90
44.69  54
31.88  47
30.48  46
15.78  42
24.91  29
43.65  25

Crystal structure
Lattice parameters (Å, degrees): 6.5571 6.5571 5.6147 90.00 90.00 90.00
Element x y z (fractional)
Sm 0.0000 0.0000 0.0000
Sm 0.5000 0.5000 0.0000
Pa 0.1721 0.3279 0.5000
Pa 0.3279 0.8279 0.5000
Pa 0.6721 0.1721 0.5000
Pa 0.8279 0.6721 0.5000
Mn 0.0000 0.5000 0.0000
Mn 0.5000 0.0000 0.0000
N 0.0000 0.0000 0.5000
N 0.1480 0.6480 0.2393
N 0.1480 0.6480 0.7607
N 0.3520 0.1480 0.2393
N 0.3520 0.1480 0.7607
N 0.5000 0.5000 0.5000
N 0.6480 0.8520 0.2393
N 0.6480 0.8520 0.7607
N 0.8520 0.3520 0.2393
N 0.8520 0.3520 0.7607

Entry 2:
Starting from a structure optimized by DFT (GGA-PBE), the powder diffraction line list of Tm4AlCd3 was calculated for Cu Kα (λ = 1.5418 Å).
Neutral-atom scattering factors, no anomalous dispersion.

Top 8 peaks for 2θ = 10–80°, in order of falling intensity:
2θ/deg  Rel. int.
34.54  100
34.85  50
62.28  36
50.10  18
61.69  17
72.85  11
24.45  10
49.19  9

Crystal structure
Lattice parameters (Å, degrees): 3.6412 3.6412 14.8171 90.00 90.00 90.00
Element x y z (fractional)
Tm 0.0000 0.0000 0.1175
Tm 0.0000 0.0000 0.3720
Tm 0.0000 0.0000 0.6280
Tm 0.0000 0.0000 0.8825
Al 0.5000 0.5000 0.0000
Cd 0.5000 0.5000 0.2450
Cd 0.5000 0.5000 0.5000
Cd 0.5000 0.5000 0.7550

Entry 3:
Starting from a structure optimized by DFT (GGA-PBE), the powder diffraction line list of ErZnGa2Au was calculated for Cu Kα (λ = 1.5418 Å).
Neutral-atom scattering factors, no anomalous dispersion.

Top 8 peaks for 2θ = 10–80°, in order of falling intensity:
2θ/deg  Rel. int.
10.32  100
37.86  68
36.28  55
29.53  53
36.41  41
43.49  34
20.78  18
47.56  18

Crystal structure
Lattice parameters (Å, degrees): 5.2374 5.2374 8.5759 90.00 90.00 109.16
Element x y z (fractional)
Er 0.2500 0.7500 0.8156
Er 0.7500 0.2500 0.1844
Zn 0.0000 0.0000 0.5000
Zn 0.5000 0.5000 0.5000
Ga 0.1057 0.8943 0.2348
Ga 0.3943 0.6057 0.2348
Ga 0.6057 0.3943 0.7652
Ga 0.8943 0.1057 0.7652
Au 0.2500 0.2500 0.0000
Au 0.7500 0.7500 0.0000

Entry 4:
Starting from a structure optimized by DFT (GGA-PBE), the powder diffraction line list of Ac2Al2Ga3 was calculated for Cu Kα (λ = 1.5418 Å).
Neutral-atom scattering factors, no anomalous dispersion.

Top 8 peaks for 2θ = 10–80°, in order of falling intensity:
2θ/deg  Rel. int.
31.91  100
31.04  66
45.75  28
23.94  27
21.53  26
38.42  26
40.70  25
52.02  19

Crystal structure
Lattice parameters (Å, degrees): 10.1954 10.1954 7.4343 90.00 90.00 153.43
Element x y z (fractional)
Ac 0.0516 0.9484 0.7500
Ac 0.1626 0.8374 0.2500
Ac 0.8374 0.1626 0.7500
Ac 0.9484 0.0516 0.2500
Al 0.3260 0.6740 0.0718
Al 0.3260 0.6740 0.4282
Al 0.6740 0.3260 0.5718
Al 0.6740 0.3260 0.9282
Ga 0.2188 0.7812 0.7500
Ga 0.4429 0.5571 0.5776
Ga 0.4429 0.5571 0.9224
Ga 0.5571 0.4429 0.0776
Ga 0.5571 0.4429 0.4224
Ga 0.7812 0.2188 0.2500

Entry 5:
Starting from a structure optimized by DFT (GGA-PBE), the powder diffraction line list of Dy7TlSe5 was calculated for Cu Kα (λ = 1.5418 Å).
Neutral-atom scattering factors, no anomalous dispersion.

Top 8 peaks for 2θ = 10–80°, in order of falling intensity:
2θ/deg  Rel. int.
30.58  100
28.93  71
31.70  54
44.43  46
44.66  33
40.69  32
54.09  25
42.92  24

Crystal structure
Lattice parameters (Å, degrees): 7.0400 7.0400 24.2992 90.00 90.00 146.50
Element x y z (fractional)
Dy 0.0174 0.9826 0.7500
Dy 0.1385 0.8615 0.0356
Dy 0.1385 0.8615 0.4644
Dy 0.3182 0.6818 0.6769
Dy 0.3182 0.6818 0.8231
Dy 0.4059 0.5941 0.1140
Dy 0.4059 0.5941 0.3860
Dy 0.5941 0.4059 0.6140
Dy 0.5941 0.4059 0.8860
Dy 0.6818 0.3182 0.1769
Dy 0.6818 0.3182 0.3231
Dy 0.8615 0.1385 0.5356
Dy 0.8615 0.1385 0.9644
Dy 0.9826 0.0174 0.2500
Tl 0.3075 0.6925 0.2500
Tl 0.6925 0.3075 0.7500
Se 0.0483 0.9517 0.1400
Se 0.0483 0.9517 0.3600
Se 0.2254 0.7746 0.5716
Se 0.2254 0.7746 0.9284
Se 0.5000 0.5000 0.0000
Se 0.5000 0.5000 0.5000
Se 0.7746 0.2254 0.0716
Se 0.7746 0.2254 0.4284
Se 0.9517 0.0483 0.6400
Se 0.9517 0.0483 0.8600

Entry 6:
Starting from a structure optimized by DFT (GGA-PBE), the powder diffraction line list of Rb2RhC2O6 was calculated for Cu Kα (λ = 1.5418 Å).
Neutral-atom scattering factors, no anomalous dispersion.

Top 8 peaks for 2θ = 10–80°, in order of falling intensity:
2θ/deg  Rel. int.
28.13  100
26.97  84
28.92  73
33.78  51
27.21  49
32.80  46
45.18  46
19.30  41

Crystal structure
Lattice parameters (Å, degrees): 6.6768 6.6768 6.6541 116.14 116.14 44.69
Element x y z (fractional)
Rb 0.1940 0.1940 0.2057
Rb 0.8060 0.8060 0.7943
Rh 0.0000 0.0000 0.5000
C 0.4994 0.4994 0.2778
C 0.5006 0.5006 0.7222
O 0.2155 0.6539 0.2485
O 0.3461 0.7845 0.7515
O 0.3898 0.3898 0.6787
O 0.6102 0.6102 0.3213
O 0.6539 0.2155 0.2485
O 0.7845 0.3461 0.7515

Entry 7:
Starting from a structure optimized by DFT (GGA-PBE), the powder diffraction line list of Na5B6C4 was calculated for Cu Kα (λ = 1.5418 Å).
Neutral-atom scattering factors, no anomalous dispersion.

Top 8 peaks for 2θ = 10–80°, in order of falling intensity:
2θ/deg  Rel. int.
42.43  100
41.99  51
42.65  39
64.98  17
36.47  17
77.92  13
57.33  10
35.97  9

Crystal structure
Lattice parameters (Å, degrees): 8.9520 8.9520 13.1063 113.62 113.62 18.21
Element x y z (fractional)
Na 0.0000 0.0000 0.0000
Na 0.9998 0.9998 0.4994
Na 0.1992 0.1992 0.3997
Na 0.1998 0.1998 0.8999
Na 0.3993 0.3993 0.7999
Na 0.4009 0.4009 0.2989
Na 0.5991 0.5991 0.2000
Na 0.6004 0.6004 0.6995
Na 0.7999 0.7999 0.5992
Na 0.8008 0.8008 0.0989
B 0.0306 0.0306 0.8112
B 0.1659 0.1659 0.5817
B 0.2334 0.2334 0.2160
B 0.3655 0.3655 0.9817
B 0.3670 0.3670 0.4833
B 0.4359 0.4359 0.6215
B 0.5664 0.5664 0.3817
B 0.5688 0.5688 0.8879
B 0.6385 0.6385 0.0272
B 0.7659 0.7659 0.7816
B 0.8274 0.8274 0.4040
B 0.9663 0.9663 0.1817
C 0.0334 0.0334 0.3145
C 0.1688 0.1688 0.0876
C 0.2328 0.2328 0.7147
C 0.4325 0.4325 0.1150
C 0.6323 0.6323 0.5150
C 0.7645 0.7645 0.2780
C 0.8320 0.8320 0.9152
C 0.9667 0.9667 0.6833

Entry 8:
Starting from a structure optimized by DFT (GGA-PBE), the powder diffraction line list of MgH11Rh5 was calculated for Cu Kα (λ = 1.5418 Å).
Neutral-atom scattering factors, no anomalous dispersion.

Top 8 peaks for 2θ = 10–80°, in order of falling intensity:
2θ/deg  Rel. int.
36.13  100
21.88  73
42.02  43
37.88  35
35.53  33
42.75  31
28.64  26
37.00  25

Crystal structure
Lattice parameters (Å, degrees): 5.2157 5.2157 5.3551 100.57 100.57 97.42
Element x y z (fractional)
Mg 0.0000 0.0000 0.0000
H 0.0000 0.0000 0.5000
H 0.1536 0.6514 0.6254
H 0.1729 0.4380 0.0632
H 0.3071 0.3071 0.6862
H 0.3486 0.8464 0.3746
H 0.4380 0.1729 0.0632
H 0.5620 0.8271 0.9368
H 0.6514 0.1536 0.6254
H 0.6929 0.6929 0.3138
H 0.8271 0.5620 0.9368
H 0.8464 0.3486 0.3746
Rh 0.0235 0.6408 0.2811
Rh 0.3592 0.9765 0.7189
Rh 0.5000 0.5000 0.0000
Rh 0.6408 0.0235 0.2811
Rh 0.9765 0.3592 0.7189